Entry 1:
For NdSmNiRu, a crystal structure in Alexandria, relaxed with GGA-PBE gives the calculated X-ray powder pattern in this record (Cu Kα).
Kinematic intensities with the Lorentz-polarization factor, no thermal factor.

Most intense lines, 2θ = 15–90°, low angle first:
27.37 deg, d 3.259, I 21.1, (1 0 2)
32.18 deg, d 2.782, I 100.0, (1 1 1)
33.24 deg, d 2.695, I 70.6, (0 1 3)
40.07 deg, d 2.250, I 76.0, (1 0 4)
44.34 deg, d 2.043, I 24.0, (2 0 0)
44.67 deg, d 2.028, I 23.4, (0 2 0)
56.52 deg, d 1.628, I 30.8, (2 1 3)
64.62 deg, d 1.442, I 15.2, (0 1 7)
64.76 deg, d 1.439, I 15.2, (2 2 0)
81.73 deg, d 1.178, I 15.6, (2 1 7)

Atomic structure:
abc: 4.0861 4.0569 10.8017
angles: 90.00 90.00 90.00
Space group Amm2 (No. 38)
Inequivalent atoms, fractional coordinates:
Nd: 0.0000 0.0000 0.0000 (multiplicity 2)
Sm: 0.5000 0.0000 0.2855 (multiplicity 2)
Ni: 0.5000 0.0000 0.5776 (multiplicity 2)
Ru: 0.0000 0.0000 0.7134 (multiplicity 2)

=====

Entry 2:
For Nd4NiS7, a crystal structure in Alexandria, relaxed with GGA-PBE gives the calculated X-ray powder pattern in this record (Cu Kα).
Kinematic intensities with the Lorentz-polarization factor, no thermal factor.

Most intense lines, 2θ = 15–90°, low angle first:
20.92 deg, d 4.246, I 10.9, (2 0 0)
24.66 deg, d 3.611, I 100.0, (2 0 1)
25.97 deg, d 3.432, I 16.2, (0 0 2)
30.75 deg, d 2.907, I 10.2, (2 1 1)
33.58 deg, d 2.669, I 37.1, (2 0 2)
34.27 deg, d 2.617, I 17.2, (3 0 1)
36.66 deg, d 2.451, I 39.9, (2 2 0)
44.68 deg, d 2.028, I 18.0, (4 0 1)
45.01 deg, d 2.014, I 29.8, (2 0 3)
45.47 deg, d 1.995, I 17.6, (2 2 2)

Atomic structure:
abc: 9.8053 9.8053 6.8631
angles: 90.00 90.00 120.00
Space group P6_3 (No. 173)
Inequivalent atoms, fractional coordinates:
Nd: 0.1620 0.7887 0.0000 (multiplicity 6)
Nd: 0.3333 0.6667 0.5452 (multiplicity 2)
Ni: 0.0000 0.0000 0.1676 (multiplicity 2)
S: 0.0693 0.5147 0.7577 (multiplicity 6)
S: 0.0997 0.8774 0.3894 (multiplicity 6)
S: 0.3333 0.6667 0.1594 (multiplicity 2)

=====

Entry 3:
For NdSc3Ni8, a crystal structure in Alexandria, relaxed with GGA-PBE gives the calculated X-ray powder pattern in this record (Cu Kα).
Kinematic intensities with the Lorentz-polarization factor, no thermal factor.

Most intense lines, 2θ = 15–90°, low angle first:
23.40 deg, d 3.802, I 21.8, (1 0 1)
36.17 deg, d 2.483, I 30.3, (1 1 0)
39.28 deg, d 2.293, I 72.0, (1 0 3)
42.66 deg, d 2.119, I 100.0, (1 1 2)
43.53 deg, d 2.079, I 89.9, (2 0 1)
47.84 deg, d 1.901, I 21.0, (0 2 2)
67.13 deg, d 1.394, I 27.1, (2 1 3)
69.52 deg, d 1.352, I 21.4, (3 0 2)
72.92 deg, d 1.297, I 26.8, (0 2 5)
76.75 deg, d 1.242, I 24.4, (2 2 0)

Atomic structure:
abc: 4.9670 4.9670 8.1325
angles: 90.00 90.00 120.00
Space group P3m1 (No. 156)
Inequivalent atoms, fractional coordinates:
Nd: 0.0000 0.0000 0.0000 (multiplicity 1)
Sc: 0.0000 0.0000 0.3804 (multiplicity 1)
Sc: 0.6667 0.3333 0.4901 (multiplicity 1)
Sc: 0.6667 0.3333 0.8526 (multiplicity 1)
Ni: 0.1671 0.3342 0.6755 (multiplicity 3)
Ni: 0.3333 0.6667 0.4310 (multiplicity 1)
Ni: 0.3333 0.6667 0.9301 (multiplicity 1)
Ni: 0.5014 0.0028 0.1907 (multiplicity 3)

=====

Entry 4:
For NdSi2Ni, a crystal structure in Alexandria, relaxed with GGA-PBE gives the calculated X-ray powder pattern in this record (Cu Kα).
Kinematic intensities with the Lorentz-polarization factor, no thermal factor.

Most intense lines, 2θ = 15–90°, low angle first:
21.66 deg, d 4.102, I 47.0, (1 0 2)
27.21 deg, d 3.277, I 47.4, (1 1 1)
27.48 deg, d 3.245, I 29.8, (2 0 1)
31.20 deg, d 2.867, I 89.9, (1 1 2)
34.47 deg, d 2.602, I 100.0, (2 1 0)
35.01 deg, d 2.563, I 56.4, (0 0 4)
36.98 deg, d 2.431, I 52.9, (1 1 3)
45.25 deg, d 2.004, I 38.3, (0 2 0)
47.95 deg, d 1.897, I 33.1, (3 0 3)
49.95 deg, d 1.826, I 35.7, (2 1 4)

Atomic structure:
abc: 6.8428 4.0079 10.2507
angles: 90.00 90.00 90.00
Space group Pnma (No. 62)
Inequivalent atoms, fractional coordinates:
Nd: 0.1564 0.2500 0.1261 (multiplicity 4)
Si: 0.1583 0.2500 0.4297 (multiplicity 4)
Si: 0.1693 0.2500 0.8279 (multiplicity 4)
Ni: 0.0007 0.2500 0.6346 (multiplicity 4)

=====

Entry 5:
For Nd2Si7Ni12, a crystal structure in Alexandria, relaxed with GGA-PBE gives the calculated X-ray powder pattern in this record (Cu Kα).
Kinematic intensities with the Lorentz-polarization factor, no thermal factor.

Most intense lines, 2θ = 15–90°, low angle first:
26.18 deg, d 3.403, I 11.2, (1 0 1)
29.53 deg, d 3.025, I 11.1, (1 2 0)
38.18 deg, d 2.357, I 100.0, (1 2 1)
40.64 deg, d 2.220, I 12.0, (3 1 0)
45.32 deg, d 2.001, I 9.7, (4 0 0)
47.57 deg, d 1.912, I 12.5, (3 1 1)
48.41 deg, d 1.880, I 19.6, (0 0 2)
52.39 deg, d 1.747, I 12.4, (4 1 0)
55.71 deg, d 1.650, I 11.6, (2 3 1)
83.48 deg, d 1.158, I 9.6, (1 2 3)

Atomic structure:
abc: 9.2417 9.2417 3.7603
angles: 90.00 90.00 120.00
Space group P-6 (No. 174)
Inequivalent atoms, fractional coordinates:
Nd: 0.0000 0.0000 0.0000 (multiplicity 1)
Nd: 0.3333 0.6667 0.5000 (multiplicity 1)
Si: 0.0534 0.6065 0.0000 (multiplicity 3)
Si: 0.2693 0.0306 0.5000 (multiplicity 3)
Si: 0.6667 0.3333 0.0000 (multiplicity 1)
Ni: 0.0351 0.7538 0.5000 (multiplicity 3)
Ni: 0.1146 0.3873 0.0000 (multiplicity 3)
Ni: 0.3896 0.1988 0.0000 (multiplicity 3)
Ni: 0.5590 0.1322 0.5000 (multiplicity 3)

=====

Entry 6:
For Nd6Si3Ni2, a crystal structure in Alexandria, relaxed with GGA-PBE gives the calculated X-ray powder pattern in this record (Cu Kα).
Kinematic intensities with the Lorentz-polarization factor, no thermal factor.

Most intense lines, 2θ = 15–90°, low angle first:
21.61 deg, d 4.113, I 21.6, (1 1 0)
30.34 deg, d 2.946, I 64.3, (1 1 2)
30.65 deg, d 2.917, I 100.0, (2 1 -3)
31.23 deg, d 2.864, I 24.3, (1 0 3)
31.72 deg, d 2.821, I 21.9, (4 0 -1)
31.88 deg, d 2.807, I 21.8, (3 0 -4)
32.97 deg, d 2.717, I 15.7, (3 1 0)
33.27 deg, d 2.693, I 14.9, (3 1 -3)
40.11 deg, d 2.248, I 31.0, (0 2 0)
40.26 deg, d 2.240, I 20.5, (4 0 1)

Atomic structure:
abc: 11.6808 4.4952 11.7581
angles: 90.00 118.87 90.00
Space group Pm (No. 6)
Inequivalent atoms, fractional coordinates:
Nd: 0.0000 0.0000 0.0000 (multiplicity 1)
Nd: 0.0082 0.5000 0.2395 (multiplicity 1)
Nd: 0.1494 0.0000 0.5395 (multiplicity 1)
Nd: 0.2451 0.0000 0.8840 (multiplicity 1)
Nd: 0.2861 0.5000 0.1604 (multiplicity 1)
Nd: 0.3879 0.5000 0.5077 (multiplicity 1)
Nd: 0.5209 0.0000 0.7926 (multiplicity 1)
Nd: 0.5447 0.5000 0.0339 (multiplicity 1)
Nd: 0.6301 0.5000 0.3957 (multiplicity 1)
Nd: 0.7544 0.5000 0.7800 (multiplicity 1)
Nd: 0.7859 0.0000 0.2575 (multiplicity 1)
Nd: 0.8986 0.0000 0.6328 (multiplicity 1)
Si: 0.1016 0.5000 0.6927 (multiplicity 1)
Si: 0.2081 0.0000 0.3071 (multiplicity 1)
Si: 0.4351 0.0000 0.3553 (multiplicity 1)
Si: 0.4883 0.0000 0.1792 (multiplicity 1)
Si: 0.6109 0.0000 0.5786 (multiplicity 1)
Si: 0.9262 0.5000 0.4584 (multiplicity 1)
Ni: 0.0571 0.5000 0.8717 (multiplicity 1)
Ni: 0.3294 0.5000 0.7522 (multiplicity 1)
Ni: 0.7670 0.2476 0.0142 (multiplicity 2)

=====

Entry 7:
For Nd2Si2Ni15, a crystal structure in Alexandria, relaxed with GGA-PBE gives the calculated X-ray powder pattern in this record (Cu Kα).
Kinematic intensities with the Lorentz-polarization factor, no thermal factor.

Most intense lines, 2θ = 15–90°, low angle first:
30.58 deg, d 2.923, I 33.3, (1 1 3)
33.61 deg, d 2.666, I 15.1, (2 1 1)
37.33 deg, d 2.409, I 28.5, (3 0 0)
38.46 deg, d 2.341, I 24.7, (0 2 4)
43.38 deg, d 2.086, I 50.8, (2 2 0)
43.59 deg, d 2.076, I 100.0, (3 0 3)
44.22 deg, d 2.048, I 35.5, (0 0 6)
49.00 deg, d 1.859, I 25.9, (2 2 3)
63.67 deg, d 1.462, I 18.2, (2 2 6)
79.57 deg, d 1.205, I 20.0, (6 0 0)

Atomic structure:
abc: 8.3445 8.3445 12.2899
angles: 90.00 90.00 120.00
Space group R-3m (No. 166, hexagonal axes)
Inequivalent atoms, fractional coordinates:
Nd: 0.0000 0.0000 0.1520 (multiplicity 6)
Si: 0.0000 0.0000 0.3995 (multiplicity 6)
Ni: 0.0000 0.2914 0.5000 (multiplicity 18)
Ni: 0.0000 0.5000 0.0000 (multiplicity 9)
Ni: 0.0088 0.5044 0.3441 (multiplicity 18)